# 1
Diffraction record for RbTbCl4. The powder diffractogram is computed, not measured: it uses a cell relaxed with GGA-PBE and Cu Kα.
Lines closer than 0.1° are merged.

Atomic structure:
```
RbTbCl4
1.0
2.6839 -10.2532 0.0000
2.6839 10.2532 0.0000
0.0000 0.0000 7.6099
Rb Tb Cl
2 2 8
direct
0.1706 0.8294 0.5000
0.8294 0.1706 0.0000
0.4126 0.5874 0.5524
0.5874 0.4126 0.0524
0.0806 0.9194 0.0730
0.3064 0.6936 0.7415
0.3441 0.6559 0.2692
0.4732 0.5268 0.8765
0.5268 0.4732 0.3765
0.6559 0.3441 0.7692
0.6936 0.3064 0.2415
0.9194 0.0806 0.5730
```

Most intense lines, 5° ≤ 2θ ≤ 70°, sorted by position:
two_theta	d (Å)	I/Imax
14.50	6.111	52
17.08	5.193	59
17.30	5.127	30
20.71	4.289	86
20.89	4.252	100
31.66	2.826	32
33.39	2.684	49
36.30	2.475	45
37.01	2.429	34
39.69	2.271	62


# 2
Diffraction record for Y3Si6N11. The powder diffractogram is computed, not measured: it uses a cell relaxed with GGA-PBE and Cu Kα.
Lines closer than 0.1° are merged.

Atomic structure:
```
Y3Si6N11
1.0
9.9693 0.0000 0.0000
0.0000 9.9693 0.0000
0.0000 0.0000 4.8906
Y Si N
6 12 22
direct
0.0000 0.0000 0.0000
0.1829 0.3171 0.0107
0.3171 0.8171 0.0107
0.5000 0.5000 0.0000
0.6829 0.1829 0.0107
0.8171 0.6829 0.0107
0.0804 0.7922 0.5582
0.1192 0.6192 0.0708
0.2078 0.0804 0.5582
0.2922 0.5804 0.5582
0.3808 0.1192 0.0708
0.4196 0.2922 0.5582
0.5804 0.7078 0.5582
0.6192 0.8808 0.0708
0.7078 0.4196 0.5582
0.7922 0.9196 0.5582
0.8808 0.3808 0.0708
0.9196 0.2078 0.5582
0.0000 0.5000 0.0995
0.0787 0.1813 0.6804
0.0796 0.7768 0.2042
0.1534 0.6534 0.7235
0.1813 0.9213 0.6804
0.2232 0.0796 0.2042
0.2768 0.5796 0.2042
0.3187 0.4213 0.6804
0.3466 0.1534 0.7235
0.4204 0.2768 0.2042
0.4213 0.6813 0.6804
0.5000 0.0000 0.0995
0.5787 0.3187 0.6804
0.5796 0.7232 0.2042
0.6534 0.8466 0.7235
0.6813 0.5787 0.6804
0.7232 0.4204 0.2042
0.7768 0.9204 0.2042
0.8187 0.0787 0.6804
0.8466 0.3466 0.7235
0.9204 0.2232 0.2042
0.9213 0.8187 0.6804
```

Most intense lines, 5° ≤ 2θ ≤ 70°, sorted by position:
two_theta	d (Å)	I/Imax
12.56	7.049	24
18.14	4.891	62
27.06	3.295	51
28.31	3.153	26
31.28	2.859	75
33.83	2.650	100
36.75	2.445	31
37.19	2.418	44
37.36	2.407	24
53.28	1.719	33


# 3
Diffraction record for Ag2AuBr. The powder diffractogram is computed, not measured: it uses a cell relaxed with GGA-PBE and Cu Kα.
Lines closer than 0.1° are merged.

Atomic structure:
```
Ag2AuBr
1.0
3.5512 0.0000 0.0000
0.0000 3.5599 0.0000
-0.0246 0.0000 7.1056
Ag Au Br
2 1 1
direct
0.0012 0.0000 0.1991
0.9988 0.0000 0.8009
0.5000 0.5000 0.0000
0.0000 0.5000 0.5000
```

Most intense lines, 5° ≤ 2θ ≤ 70°, sorted by position:
two_theta	d (Å)	I/Imax
12.46	7.106	54
28.09	3.177	23
35.71	2.515	100
35.81	2.507	12
37.96	2.370	56
46.00	1.973	26
46.14	1.967	14
51.33	1.780	12
51.46	1.776	17
64.13	1.452	20


# 4
Diffraction record for Nd2Mn3Sb4S12. The powder diffractogram is computed, not measured: it uses a cell relaxed with GGA-PBE and Cu Kα.
Lines closer than 0.1° are merged.

Atomic structure:
```
Nd2Mn3Sb4S12
1.0
10.0228 -1.9500 0.0000
10.0228 1.9500 0.0000
-8.8084 0.0000 12.0151
Nd Mn Sb S
2 3 4 12
direct
0.2404 0.2404 0.1388
0.7596 0.7596 0.8612
0.0000 0.0000 0.0000
0.1960 0.1960 0.3771
0.8040 0.8040 0.6229
0.1080 0.1080 0.5481
0.4562 0.4562 0.1809
0.5438 0.5438 0.8191
0.8920 0.8920 0.4519
0.0546 0.0546 0.1966
0.1706 0.1706 0.8985
0.2587 0.2587 0.7081
0.3402 0.3402 0.5443
0.3985 0.3985 0.9757
0.4093 0.4093 0.3484
0.5907 0.5907 0.6516
0.6015 0.6015 0.0243
0.6598 0.6598 0.4557
0.7413 0.7413 0.2919
0.8294 0.8294 0.1015
0.9454 0.9454 0.8034
```

Most intense lines, 5° ≤ 2θ ≤ 70°, sorted by position:
two_theta	d (Å)	I/Imax
24.78	3.594	35
25.60	3.480	31
25.99	3.428	52
27.12	3.288	50
32.03	2.794	29
32.59	2.748	34
33.27	2.693	100
34.80	2.578	49
41.61	2.170	30
46.56	1.950	37